# MnCr2PbF8
Simulated powder diffraction line list, Cu Kα, 1.54184 Å. Input: DFT lattice parameters and positions (PBE+U).

Structure:
```
MnCr2PbF8
1.0
4.6496 0.0000 0.0000
0.3065 5.2093 0.0000
0.1416 0.6640 7.4659
Mn Cr Pb F
1 2 1 8
Direct
0.0000 0.0000 0.0000
0.4901 0.4984 0.7701
0.5099 0.5016 0.2299
0.0000 0.0000 0.5000
0.1638 0.7698 0.7919
0.1709 0.7648 0.2347
0.3331 0.2729 0.9792
0.3910 0.2863 0.4537
0.6090 0.7137 0.5463
0.6669 0.7271 0.0208
0.8291 0.2352 0.7653
0.8362 0.2302 0.2081
```

Top 8 peaks for 10 to 90 degrees two-theta, sorted by position:
| hkl | d/Å | two_theta | intensity |
| --- | --- | --- | --- |
| 0 0 1 | 7.466 | 11.9 | 41 |
| 0 1 0 | 5.189 | 17.1 | 31 |
| 1 1 0 | 3.562 | 25.0 | 100 |
| 1 -1 0 | 3.365 | 26.5 | 78 |
| 0 1 2 | 3.166 | 28.2 | 63 |
| 1 0 2 | 2.928 | 30.5 | 39 |
| 0 1 -2 | 2.910 | 30.7 | 40 |
| 2 0 0 | 2.322 | 38.8 | 32 |